Record 1
Theoretical X-ray powder pattern
Compound: W6CCl18
Radiation: Cu Ka
Structure: a structure optimized by DFT (GGA-PBE)
Kinematic intensities with the Lorentz-polarization factor, no thermal factor.

Top 8 peaks for 10° ≤ 2θ ≤ 90°, in order of falling intensity:
d [Å]	I (rel.)
7.486	100
8.189	40
3.053	14
2.008	14
1.875	13
2.373	11
2.254	10
3.368	8

Structure:
a b c (Å): 9.4560 9.4560 18.4716
angles (deg): 90.00 90.00 120.00
Element x y z (fractional)
W: 0.1543 0.5115 0.1701
W: 0.1543 0.5115 0.3299
W: 0.3572 0.8457 0.1701
W: 0.3572 0.8457 0.3299
W: 0.4885 0.6428 0.1701
W: 0.4885 0.6428 0.3299
W: 0.5115 0.1543 0.6701
W: 0.5115 0.1543 0.8299
W: 0.6428 0.4885 0.6701
W: 0.6428 0.4885 0.8299
W: 0.8457 0.3572 0.6701
W: 0.8457 0.3572 0.8299
C: 0.3333 0.6667 0.2500
C: 0.6667 0.3333 0.7500
Cl: 0.0431 0.5699 0.7500
Cl: 0.0825 0.3876 0.6087
Cl: 0.0825 0.3876 0.8913
Cl: 0.1128 0.2875 0.2500
Cl: 0.1428 0.6956 0.0840
Cl: 0.1428 0.6956 0.4160
Cl: 0.1747 0.8872 0.2500
Cl: 0.2875 0.1128 0.7500
Cl: 0.3044 0.4472 0.0840
Cl: 0.3044 0.4472 0.4160
Cl: 0.3051 0.9175 0.6087
Cl: 0.3051 0.9175 0.8913
Cl: 0.3876 0.0825 0.1087
Cl: 0.3876 0.0825 0.3913
Cl: 0.4301 0.4733 0.7500
Cl: 0.4472 0.3044 0.5840
Cl: 0.4472 0.3044 0.9160
Cl: 0.4733 0.4301 0.2500
Cl: 0.5267 0.9569 0.7500
Cl: 0.5528 0.8572 0.0840
Cl: 0.5528 0.8572 0.4160
Cl: 0.5699 0.0431 0.2500
Cl: 0.6124 0.6949 0.6087
Cl: 0.6124 0.6949 0.8913
Cl: 0.6949 0.6124 0.1087
Cl: 0.6949 0.6124 0.3913
Cl: 0.6956 0.1428 0.5840
Cl: 0.6956 0.1428 0.9160
Cl: 0.7125 0.8253 0.2500
Cl: 0.8253 0.7125 0.7500
Cl: 0.8572 0.5528 0.5840
Cl: 0.8572 0.5528 0.9160
Cl: 0.8872 0.1747 0.7500
Cl: 0.9175 0.3051 0.1087
Cl: 0.9175 0.3051 0.3913
Cl: 0.9569 0.5267 0.2500



Record 2
Theoretical X-ray powder pattern
Compound: Co2C3
Radiation: Cu Ka
Structure: a structure optimized by DFT (GGA-PBE)
Kinematic intensities with the Lorentz-polarization factor, no thermal factor.

Top 8 peaks for 10° ≤ 2θ ≤ 90°, in order of falling intensity:
d [Å]	I (rel.)
3.000	100
1.964	80
1.192	18
1.299	17
1.342	16
1.837	15
2.324	11
1.567	10

Structure:
a b c (Å): 6.3648 6.3648 6.3648
angles (deg): 109.47 109.47 109.47
Element x y z (fractional)
Co: 0.0000 0.2787 0.5000
Co: 0.0000 0.7787 0.5000
Co: 0.2213 0.2213 0.2213
Co: 0.2787 0.5000 0.0000
Co: 0.5000 0.0000 0.2787
Co: 0.5000 0.0000 0.7787
Co: 0.7213 0.7213 0.7213
Co: 0.7787 0.5000 0.0000
C: 0.0327 0.7500 0.7827
C: 0.2173 0.7500 0.9673
C: 0.2500 0.5327 0.2827
C: 0.2500 0.7173 0.4673
C: 0.2827 0.2500 0.5327
C: 0.4673 0.2500 0.7173
C: 0.5327 0.2827 0.2500
C: 0.7173 0.4673 0.2500
C: 0.7500 0.7827 0.0327
C: 0.7500 0.9673 0.2173
C: 0.7827 0.0327 0.7500
C: 0.9673 0.2173 0.7500



Record 3
Theoretical X-ray powder pattern
Compound: CoC8
Radiation: Cu Ka
Structure: a structure optimized by DFT (GGA-PBE)
Kinematic intensities with the Lorentz-polarization factor, no thermal factor.

Top 8 peaks for 10° ≤ 2θ ≤ 90°, in order of falling intensity:
d [Å]	I (rel.)
4.318	100
2.691	60
1.829	44
2.019	25
2.493	24
1.475	16
1.632	12
1.721	11

Structure:
a b c (Å): 4.9858 4.9858 3.4413
angles (deg): 90.00 90.00 120.00
Element x y z (fractional)
Co: 0.0000 0.0000 0.0000
C: 0.1678 0.3355 0.5000
C: 0.1678 0.8322 0.5000
C: 0.3333 0.6667 0.5000
C: 0.3355 0.1678 0.5000
C: 0.6645 0.8322 0.5000
C: 0.6667 0.3333 0.5000
C: 0.8322 0.1678 0.5000
C: 0.8322 0.6645 0.5000



Record 4
Theoretical X-ray powder pattern
Compound: CsCoC3N3
Radiation: Cu Ka
Structure: a structure optimized by DFT (GGA-PBE)
Kinematic intensities with the Lorentz-polarization factor, no thermal factor.

Top 8 peaks for 10° ≤ 2θ ≤ 90°, in order of falling intensity:
d [Å]	I (rel.)
3.581	100
2.532	36
2.068	35
1.602	25
1.354	24
1.791	20
2.924	19
1.194	11

Structure:
a b c (Å): 7.1629 7.1629 7.1629
angles (deg): 60.00 60.00 60.00
Element x y z (fractional)
Cs: 0.2500 0.2500 0.2500
Cs: 0.7500 0.7500 0.7500
Co: 0.0000 0.0000 0.0000
Co: 0.5000 0.5000 0.5000
C: 0.1847 0.1847 0.8153
C: 0.1847 0.8153 0.1847
C: 0.1847 0.8153 0.8153
C: 0.8153 0.1847 0.1847
C: 0.8153 0.1847 0.8153
C: 0.8153 0.8153 0.1847
N: 0.3010 0.3010 0.6990
N: 0.3010 0.6990 0.3010
N: 0.3010 0.6990 0.6990
N: 0.6990 0.3010 0.3010
N: 0.6990 0.3010 0.6990
N: 0.6990 0.6990 0.3010



Copy entry 2 word for word.
Theoretical X-ray powder pattern
Compound: Co2C3
Radiation: Cu Ka
Structure: a structure optimized by DFT (GGA-PBE)
Kinematic intensities with the Lorentz-polarization factor, no thermal factor.

Top 8 peaks for 10° ≤ 2θ ≤ 90°, in order of falling intensity:
d [Å]	I (rel.)
3.000	100
1.964	80
1.192	18
1.299	17
1.342	16
1.837	15
2.324	11
1.567	10

Structure:
a b c (Å): 6.3648 6.3648 6.3648
angles (deg): 109.47 109.47 109.47
Element x y z (fractional)
Co: 0.0000 0.2787 0.5000
Co: 0.0000 0.7787 0.5000
Co: 0.2213 0.2213 0.2213
Co: 0.2787 0.5000 0.0000
Co: 0.5000 0.0000 0.2787
Co: 0.5000 0.0000 0.7787
Co: 0.7213 0.7213 0.7213
Co: 0.7787 0.5000 0.0000
C: 0.0327 0.7500 0.7827
C: 0.2173 0.7500 0.9673
C: 0.2500 0.5327 0.2827
C: 0.2500 0.7173 0.4673
C: 0.2827 0.2500 0.5327
C: 0.4673 0.2500 0.7173
C: 0.5327 0.2827 0.2500
C: 0.7173 0.4673 0.2500
C: 0.7500 0.7827 0.0327
C: 0.7500 0.9673 0.2173
C: 0.7827 0.0327 0.7500
C: 0.9673 0.2173 0.7500